(1)
Diffraction record for La16Co5Ir3. The powder diffraction line list is computed, not measured: it uses a crystal structure in Alexandria, relaxed with GGA-PBE and copper Kα.
Neutral-atom scattering factors, no anomalous dispersion.

Crystal structure
Cell: 8.2220 8.2220 13.1691 Å, 90.12 90.12 60.01°
Fractional positions:
La 0.0000 0.0000 0.0000
La 0.9997 0.9997 0.4968
La 0.0196 0.4764 0.0159
La 0.1587 0.1587 0.2694
La 0.1666 0.6602 0.2667
La 0.3214 0.3214 0.7708
La 0.3254 0.8342 0.7669
La 0.4764 0.0196 0.0159
La 0.4809 0.4809 0.0152
La 0.5005 0.9666 0.5120
La 0.5067 0.5067 0.5131
La 0.6553 0.6553 0.2738
La 0.6602 0.1666 0.2667
La 0.8255 0.8255 0.7614
La 0.8342 0.3254 0.7669
La 0.9666 0.5005 0.5120
Co 0.1612 0.1612 0.8896
Co 0.3264 0.3264 0.1523
Co 0.3273 0.8263 0.3874
Co 0.6585 0.6585 0.6489
Co 0.8263 0.3273 0.3874
Ir 0.1585 0.6614 0.8852
Ir 0.6614 0.1585 0.8852
Ir 0.8278 0.8278 0.3849

The 6 most intense peaks (2θ = 5–70°), by intensity:
2θ (°)	d_spacing	intensity
28.50	3.132	100
32.38	2.765	56
44.05	2.056	49
42.69	2.118	26
14.14	6.263	22
13.45	6.585	19

=====

(2)
Diffraction record for La8CoIrRh2. The powder diffraction line list is computed, not measured: it uses a crystal structure in Alexandria, relaxed with GGA-PBE and copper Kα.
Neutral-atom scattering factors, no anomalous dispersion.

Crystal structure
Cell: 6.7277 8.4997 6.8105 Å, 90.00 90.24 90.00°
Fractional positions:
La 0.2194 0.2417 0.1665
La 0.2194 0.7583 0.1665
La 0.2713 0.0000 0.6749
La 0.2742 0.5000 0.6688
La 0.7258 0.5000 0.3312
La 0.7287 0.0000 0.3251
La 0.7806 0.2417 0.8335
La 0.7806 0.7583 0.8335
Co 0.0000 0.0000 0.0000
Ir 0.0000 0.5000 0.0000
Rh 0.5000 0.2480 0.5000
Rh 0.5000 0.7520 0.5000

The 6 most intense peaks (2θ = 5–70°), by intensity:
2θ (°)	d_spacing	intensity
28.08	3.178	100
36.54	2.459	52
18.54	4.786	48
45.29	2.002	37
29.35	3.043	23
42.54	2.125	22